(1)
For CdInGaS4, a structure optimized by DFT (GGA-PBE) gives the simulated powder X-ray diffraction pattern in this record (Cu Kα).
Peak positions follow from Bragg's law for the DFT cell and can differ from measured ones.

Atomic structure:
Cell: 3.9087 3.9087 26.2621 Å, 90.00 90.00 120.00°
Space group P-3m1 (No. 164)
Asymmetric unit:
Cd  0.0000  0.0000  0.2435 [2 per cell]
In  0.3333  0.6667  0.6106 [2 per cell]
Ga  0.3333  0.6667  0.1051 [2 per cell]
S  0.3333  0.6667  0.1892 [2 per cell]
S  0.3333  0.6667  0.4333 [2 per cell]
S  0.3333  0.6667  0.7019 [2 per cell]
S  0.3333  0.6667  0.9306 [2 per cell]

The 10 most intense peaks (2θ = 10–90°), in order of rising 2θ:
hkl 0 0 6, 20.3°, I = 50
hkl 1 0 2, 27.2°, I = 100
hkl 1 0 4, 29.7°, I = 78
hkl 0 1 6, 33.5°, I = 21
hkl 1 0 8, 38.2°, I = 25
hkl 1 0 10, 43.6°, I = 35
hkl 1 1 0, 46.5°, I = 54
hkl 0 1 12, 49.6°, I = 33
hkl 1 1 6, 51.2°, I = 24
hkl 0 2 2, 54.7°, I = 18

(2)
For Rb2ScIBr6, a structure optimized by DFT (GGA-PBE) gives the simulated powder X-ray diffraction pattern in this record (Cu Kα).
Peak positions follow from Bragg's law for the DFT cell and can differ from measured ones.

Atomic structure:
Cell: 8.8886 8.8886 10.9481 Å, 90.00 90.00 90.00°
Space group I4/mmm (No. 139)
Asymmetric unit:
Rb  0.0000  0.5000  0.2500 [4 per cell]
Sc  0.0000  0.0000  0.0000 [2 per cell]
I  0.0000  0.0000  0.5000 [2 per cell]
Br  0.0000  0.0000  0.2544 [4 per cell]
Br  0.2077  0.2077  0.0000 [8 per cell]

The 10 most intense peaks (2θ = 10–90°), in order of rising 2θ:
hkl 1 1 0, 14.1°, I = 33
hkl 1 1 2, 21.5°, I = 29
hkl 2 1 1, 23.8°, I = 28
hkl 2 0 2, 25.8°, I = 92
hkl 2 2 0, 28.4°, I = 100
hkl 3 0 1, 31.3°, I = 28
hkl 0 0 4, 32.7°, I = 42
hkl 4 0 0, 40.6°, I = 29
hkl 2 2 4, 43.9°, I = 59
hkl 4 0 4, 53.1°, I = 26

(3)
For Ca2CeErBi4, a structure optimized by DFT (GGA-PBE) gives the simulated powder X-ray diffraction pattern in this record (Cu Kα).
Peak positions follow from Bragg's law for the DFT cell and can differ from measured ones.

Atomic structure:
Cell: 7.8921 4.5880 7.8975 Å, 90.00 109.77 90.00°
Space group P2/m (No. 10)
Asymmetric unit:
Ca  0.0000  0.0000  0.0000 [1 per cell]
Ca  0.5000  0.5000  0.0000 [1 per cell]
Ce  0.0000  0.5000  0.5000 [1 per cell]
Er  0.5000  0.0000  0.5000 [1 per cell]
Bi  0.2485  0.0000  0.7385 [2 per cell]
Bi  0.2567  0.5000  0.2626 [2 per cell]

The 10 most intense peaks (2θ = 10–90°), in order of rising 2θ:
hkl 0 0 1, 11.9°, I = 12
hkl 1 1 -1, 23.8°, I = 12
hkl 1 1 1, 27.6°, I = 100
hkl 0 2 0, 39.3°, I = 13
hkl 3 1 -1, 39.5°, I = 52
hkl 2 0 2, 39.7°, I = 13
hkl 2 2 -2, 48.7°, I = 14
hkl 4 0 0, 49.0°, I = 14
hkl 2 2 2, 57.1°, I = 13
hkl 4 2 0, 64.6°, I = 24

- Number 2 is which compound?
  Rb2ScIBr6